Entry 1:
Diffraction record for Sr2Zn2TeSeO2. The powder diffraction line list is computed, not measured: it uses a crystal structure in OQMD, relaxed with PBE and Cu Kα (weighted mean of Kα1 and Kα2).

Structural model:
```
data_Sr2Zn2TeSeO2
_chemical_formula_sum 'Sr2 Zn2 Te1 Se1 O2'
_space_group_name_H-M_alt 'P 3 m 1'
_space_group_IT_number 156
_space_group_name_Hall 'P 3 -2"'
_cell_length_a 4.1194
_cell_length_b 4.1194
_cell_length_c 12.1957
_cell_angle_alpha 90.00
_cell_angle_beta 90.00
_cell_angle_gamma 120.00
loop_
_atom_site_label
_atom_site_fract_x
_atom_site_fract_y
_atom_site_fract_z
Sr1 0.0000 0.0000 0.0000
Sr2 0.3333 0.6667 0.5181
Zn1 0.6667 0.3333 0.3101
Zn2 0.6667 0.3333 0.7913
Te1 0.3333 0.6667 0.2159
Se1 0.0000 0.0000 0.7158
O1 0.6667 0.3333 0.4676
O2 0.6667 0.3333 0.9488
```

Most intense lines, 15° ≤ 2θ ≤ 90°, sorted by position:
2θ/deg	intensity
26.0	82.0
29.0	49.7
29.3	32.0
33.4	100.0
38.9	24.8
44.0	74.4
51.8	37.5
53.7	33.6
56.3	22.0
59.0	21.2

Entry 2:
Diffraction record for K4NiP2S8. The powder diffraction line list is computed, not measured: it uses a crystal structure in OQMD, relaxed with PBE and Cu Kα (weighted mean of Kα1 and Kα2).

Structural model:
```
data_K4NiP2S8
_chemical_formula_sum 'K4 Ni1 P2 S8'
_space_group_name_H-M_alt 'P -1'
_space_group_IT_number 2
_space_group_name_Hall '-P 1'
_cell_length_a 6.4353
_cell_length_b 6.9307
_cell_length_c 8.9971
_cell_angle_alpha 86.53
_cell_angle_beta 81.52
_cell_angle_gamma 84.91
loop_
_atom_site_label
_atom_site_fract_x
_atom_site_fract_y
_atom_site_fract_z
K1 0.2121 0.1644 0.3602
K2 0.2458 0.7182 0.9810
Ni1 0.5000 0.5000 0.5000
P1 0.3296 0.2357 0.7583
S1 0.1892 0.4658 0.6374
S2 0.2602 0.2468 0.9855
S3 0.2755 0.9767 0.6859
S4 0.3653 0.6872 0.3233
```

Most intense lines, 15° ≤ 2θ ≤ 90°, sorted by position:
2θ/deg	intensity
15.9	97.0
22.8	41.0
25.1	34.1
27.3	100.0
28.1	80.3
30.2	68.2
33.0	54.3
36.3	32.0
36.9	31.9
44.7	37.6

Entry 3:
Diffraction record for Dy2GaNi2. The powder diffraction line list is computed, not measured: it uses a crystal structure in OQMD, relaxed with PBE and Cu Kα (weighted mean of Kα1 and Kα2).

Structural model:
```
data_Dy2GaNi2
_chemical_formula_sum 'Dy4 Ga2 Ni4'
_space_group_name_H-M_alt 'I m m m'
_space_group_IT_number 71
_space_group_name_Hall '-I 2 2'
_cell_length_a 4.1742
_cell_length_b 5.3526
_cell_length_c 8.2275
_cell_angle_alpha 90.00
_cell_angle_beta 90.00
_cell_angle_gamma 90.00
loop_
_atom_site_label
_atom_site_fract_x
_atom_site_fract_y
_atom_site_fract_z
Dy1 0.0000 0.0000 0.2020
Ga1 0.0000 0.5000 0.0000
Ni1 0.0000 0.2682 0.5000
```

Most intense lines, 15° ≤ 2θ ≤ 90°, sorted by position:
2θ/deg	intensity
27.1	41.6
34.9	100.0
36.8	33.6
39.3	27.7
40.2	27.5
41.6	43.3
43.4	30.2
58.2	17.9
60.6	16.1
70.9	26.7

Entry 4:
Diffraction record for Te2WSe2I. The powder diffraction line list is computed, not measured: it uses a crystal structure in OQMD, relaxed with PBE and Cu Kα (weighted mean of Kα1 and Kα2).

Structural model:
```
data_Te2WSe2I
_chemical_formula_sum 'Te4 W2 Se4 I2'
_space_group_name_H-M_alt 'P -1'
_space_group_IT_number 2
_space_group_name_Hall '-P 1'
_cell_length_a 6.6140
_cell_length_b 8.2504
_cell_length_c 8.6170
_cell_angle_alpha 114.46
_cell_angle_beta 103.86
_cell_angle_gamma 98.65
loop_
_atom_site_label
_atom_site_fract_x
_atom_site_fract_y
_atom_site_fract_z
Te1 0.1153 0.3222 0.1759
Te2 0.3826 0.8658 0.7036
W1 0.2201 0.0000 0.9998
Se1 0.0372 0.8882 0.1852
Se2 0.4788 0.7952 0.0559
I1 0.2558 0.4031 0.5762
```

Most intense lines, 15° ≤ 2θ ≤ 90°, sorted by position:
2θ/deg	intensity
27.4	44.3
31.8	36.9
32.2	100.0
34.0	39.0
38.4	39.0
40.8	43.7
42.5	40.4
43.3	59.8
44.1	45.0
55.7	36.4

Entry 5:
Diffraction record for Dy5Tm2Ni2Te2. The powder diffraction line list is computed, not measured: it uses a crystal structure in OQMD, relaxed with PBE and Cu Kα (weighted mean of Kα1 and Kα2).

Structural model:
```
data_Dy5Tm2Ni2Te2
_chemical_formula_sum 'Dy10 Tm4 Ni4 Te4'
_space_group_name_H-M_alt 'I m m 2'
_space_group_IT_number 44
_space_group_name_Hall 'I 2 -2'
_cell_length_a 3.8345
_cell_length_b 15.5662
_cell_length_c 9.5077
_cell_angle_alpha 90.00
_cell_angle_beta 90.00
_cell_angle_gamma 90.00
loop_
_atom_site_label
_atom_site_fract_x
_atom_site_fract_y
_atom_site_fract_z
Dy1 0.0000 0.0000 0.0000
Dy2 0.0000 0.3156 0.3791
Dy3 0.0000 0.3526 0.7312
Tm1 0.0000 0.1328 0.5818
Ni1 0.0000 0.2391 0.0713
Te1 0.0000 0.0000 0.3371
Te2 0.0000 0.5000 0.2331
```

Most intense lines, 15° ≤ 2θ ≤ 90°, sorted by position:
2θ/deg	intensity
29.0	20.9
30.2	21.0
30.5	50.5
33.1	79.1
34.2	100.0
34.6	74.6
36.8	20.1
47.4	28.6
51.2	23.0
59.1	30.4

Entry 6:
Diffraction record for Nd2Ho2CI4Cl. The powder diffraction line list is computed, not measured: it uses a crystal structure in OQMD, relaxed with PBE and Cu Kα (weighted mean of Kα1 and Kα2).

Structural model:
```
data_Nd2Ho2CI4Cl
_chemical_formula_sum 'Nd4 Ho4 C2 I8 Cl2'
_space_group_name_H-M_alt 'C 1 2/m 1'
_space_group_IT_number 12
_space_group_name_Hall '-C 2y'
_cell_length_a 19.6135
_cell_length_b 3.9716
_cell_length_c 8.3084
_cell_angle_alpha 90.00
_cell_angle_beta 101.73
_cell_angle_gamma 90.00
loop_
_atom_site_label
_atom_site_fract_x
_atom_site_fract_y
_atom_site_fract_z
Nd1 0.0017 0.0000 0.2894
Ho1 0.1247 0.5000 0.5653
C1 0.0000 0.5000 0.5000
I1 0.1635 0.0000 0.8458
I2 0.1696 0.0000 0.3269
Cl1 0.0000 0.5000 0.0000
```

Most intense lines, 15° ≤ 2θ ≤ 90°, sorted by position:
2θ/deg	intensity
27.9	38.4
29.7	14.8
31.2	100.0
31.6	18.1
31.9	17.3
32.4	38.3
42.2	22.0
42.4	20.4
43.6	16.0
45.7	18.3

Entry 7:
Diffraction record for K4SbPAu2. The powder diffraction line list is computed, not measured: it uses a crystal structure in OQMD, relaxed with PBE and Cu Kα (weighted mean of Kα1 and Kα2).

Structural model:
```
data_K4SbPAu2
_chemical_formula_sum 'K8 Sb2 P2 Au4'
_space_group_name_H-M_alt 'A m m 2'
_space_group_IT_number 38
_space_group_name_Hall 'A 2 -2'
_cell_length_a 6.5470
_cell_length_b 10.2469
_cell_length_c 7.6544
_cell_angle_alpha 90.00
_cell_angle_beta 90.00
_cell_angle_gamma 90.00
loop_
_atom_site_label
_atom_site_fract_x
_atom_site_fract_y
_atom_site_fract_z
K1 0.0000 0.1685 0.0000
K2 0.5000 0.1769 0.3097
Sb1 0.0000 0.0000 0.4078
P1 0.5000 0.0000 0.9184
Au1 0.2641 0.0000 0.6776
```

Most intense lines, 15° ≤ 2θ ≤ 90°, sorted by position:
2θ/deg	intensity
17.3	100.0
28.6	70.0
31.0	99.5
31.8	39.2
36.1	57.7
36.3	40.9
39.9	27.4
40.3	62.0
51.2	32.0
52.8	28.1

Entry 8:
Diffraction record for Ni14Te. The powder diffraction line list is computed, not measured: it uses a crystal structure in OQMD, relaxed with PBE and Cu Kα (weighted mean of Kα1 and Kα2).

Structural model:
```
data_Ni14Te
_chemical_formula_sum 'Ni28 Te2'
_space_group_name_H-M_alt 'P 1 21/m 1'
_space_group_IT_number 11
_space_group_name_Hall '-P 2yb'
_cell_length_a 5.5122
_cell_length_b 3.5254
_cell_length_c 30.8363
_cell_angle_alpha 90.00
_cell_angle_beta 90.26
_cell_angle_gamma 90.00
loop_
_atom_site_label
_atom_site_fract_x
_atom_site_fract_y
_atom_site_fract_z
Ni1 0.0430 0.2500 0.2928
Ni2 0.0501 0.2500 0.4732
Ni3 0.0515 0.2500 0.6523
Ni4 0.1500 0.7500 0.4194
Ni5 0.1506 0.7500 0.5982
Ni6 0.2489 0.2500 0.3656
Ni7 0.2501 0.2500 0.5446
Ni8 0.2530 0.2500 0.7249
Ni9 0.3487 0.7500 0.6700
Ni10 0.3500 0.7500 0.4910
Ni11 0.3534 0.7500 0.3124
Ni12 0.4501 0.2500 0.4374
Ni13 0.4499 0.2500 0.6162
Ni14 0.4542 0.2500 0.2585
Te1 0.1542 0.7500 0.2324
```

Most intense lines, 15° ≤ 2θ ≤ 90°, sorted by position:
2θ/deg	intensity
42.3	28.0
44.2	82.0
44.5	100.0
45.3	75.3
46.8	31.6
50.1	23.0
51.9	50.6
52.0	22.8
53.0	46.7
77.4	28.2

Entry 9:
Diffraction record for Sr3Pt. The powder diffraction line list is computed, not measured: it uses a crystal structure in OQMD, relaxed with PBE and Cu Kα (weighted mean of Kα1 and Kα2).

Structural model:
```
data_Sr3Pt
_chemical_formula_sum 'Sr6 Pt2'
_space_group_name_H-M_alt 'P 63 2 2'
_space_group_IT_number 182
_space_group_name_Hall 'P 6c 2c'
_cell_length_a 7.3967
_cell_length_b 7.3967
_cell_length_c 7.0751
_cell_angle_alpha 90.00
_cell_angle_beta 90.00
_cell_angle_gamma 120.00
loop_
_atom_site_label
_atom_site_fract_x
_atom_site_fract_y
_atom_site_fract_z
Sr1 0.0000 0.3417 0.0000
Pt1 0.3333 0.6667 0.2500
```

Most intense lines, 15° ≤ 2θ ≤ 90°, sorted by position:
2θ/deg	intensity
18.7	100.0
27.2	79.1
30.6	30.1
35.1	80.5
39.3	31.5
42.3	47.1
45.6	19.0
56.1	20.8
68.9	22.2
72.7	19.3

Entry 10:
Diffraction record for TbY2Co2B2N3. The powder diffraction line list is computed, not measured: it uses a crystal structure in OQMD, relaxed with PBE and Cu Kα (weighted mean of Kα1 and Kα2).

Structural model:
```
data_TbY2Co2B2N3
_chemical_formula_sum 'Tb2 Y4 Co4 B4 N6'
_space_group_name_H-M_alt 'I 4/m m m'
_space_group_IT_number 139
_space_group_name_Hall '-I 4 2'
_cell_length_a 3.4800
_cell_length_b 3.4800
_cell_length_c 19.9312
_cell_angle_alpha 90.00
_cell_angle_beta 90.00
_cell_angle_gamma 90.00
loop_
_atom_site_label
_atom_site_fract_x
_atom_site_fract_y
_atom_site_fract_z
Tb1 0.0000 0.0000 0.0000
Y1 0.0000 0.0000 0.3758
Co1 0.0000 0.5000 0.2500
B1 0.0000 0.0000 0.1939
N1 0.0000 0.0000 0.1183
N2 0.0000 0.0000 0.5000
```

Most intense lines, 15° ≤ 2θ ≤ 90°, sorted by position:
2θ/deg	intensity
29.0	100.0
34.2	82.8
36.0	59.1
36.5	35.1
37.7	73.0
45.9	41.9
52.6	42.8
61.2	26.2
64.3	27.3
65.4	38.2

Entry 11:
Diffraction record for Tm2Cu2SiSn. The powder diffraction line list is computed, not measured: it uses a crystal structure in OQMD, relaxed with PBE and Cu Kα (weighted mean of Kα1 and Kα2).

Structural model:
```
data_Tm2Cu2SiSn
_chemical_formula_sum 'Tm2 Cu2 Si1 Sn1'
_space_group_name_H-M_alt 'P 3 m 1'
_space_group_IT_number 156
_space_group_name_Hall 'P 3 -2"'
_cell_length_a 4.3521
_cell_length_b 4.3521
_cell_length_c 7.0488
_cell_angle_alpha 90.00
_cell_angle_beta 90.00
_cell_angle_gamma 120.00
loop_
_atom_site_label
_atom_site_fract_x
_atom_site_fract_y
_atom_site_fract_z
Tm1 0.0000 0.0000 0.0000
Tm2 0.0000 0.0000 0.4779
Cu1 0.3333 0.6667 0.1924
Cu2 0.6667 0.3333 0.6581
Si1 0.6667 0.3333 0.2656
Sn1 0.3333 0.6667 0.7605
```

Most intense lines, 15° ≤ 2θ ≤ 90°, sorted by position:
2θ/deg	intensity
23.6	26.4
26.8	8.2
34.9	100.0
41.5	55.8
45.5	7.4
55.3	26.8
57.8	10.9
68.5	13.3
71.4	28.8
75.7	9.4

Entry 12:
Diffraction record for InHg3PtSe4. The powder diffraction line list is computed, not measured: it uses a crystal structure in OQMD, relaxed with PBE and Cu Kα (weighted mean of Kα1 and Kα2).

Structural model:
```
data_InHg3PtSe4
_chemical_formula_sum 'In1 Hg3 Pt1 Se4'
_space_group_name_H-M_alt 'P -4 3 m'
_space_group_IT_number 215
_space_group_name_Hall 'P -4 2 3'
_cell_length_a 6.3284
_cell_length_b 6.3284
_cell_length_c 6.3284
_cell_angle_alpha 90.00
_cell_angle_beta 90.00
_cell_angle_gamma 90.00
loop_
_atom_site_label
_atom_site_fract_x
_atom_site_fract_y
_atom_site_fract_z
In1 0.0000 0.0000 0.0000
Hg1 0.0000 0.5000 0.5000
Pt1 0.5000 0.5000 0.5000
Se1 0.2453 0.2453 0.2453
```

Most intense lines, 15° ≤ 2θ ≤ 90°, sorted by position:
2θ/deg	intensity
24.4	62.3
28.2	29.5
31.6	20.5
40.3	100.0
47.7	31.1
58.3	16.9
64.1	12.7
66.0	11.4
73.3	34.7
87.1	11.5